1.
For DyHoTm2Sc4, a structure optimized by DFT (GGA-PBE) gives the calculated XRD peak list in this record (Cu Kα (weighted mean of Kα1 and Kα2)).
Peak positions follow from Bragg's law for the DFT cell and can differ from measured ones.

Cell and atoms:
```
data_DyHoTm2Sc4
_cell_length_a 6.4866
_cell_length_b 11.2034
_cell_length_c 12.6286
_cell_angle_alpha 90.00
_cell_angle_beta 90.00
_cell_angle_gamma 90.00
_space_group_name_H-M_alt 'I m m a'
_space_group_IT_number 74
_space_group_name_Hall '-I 2b 2'
loop_
_atom_site_label
_atom_site_fract_x
_atom_site_fract_y
_atom_site_fract_z
Dy1 0.2500 0.2500 0.2500
Ho1 0.0000 0.0000 0.0000
Tm1 0.0000 0.0000 0.5000
Tm2 0.2500 0.2500 0.7500
Sc1 0.0000 0.0013 0.7491
Sc2 0.2496 0.2500 0.5016
```

Most intense lines, 10° ≤ 2θ ≤ 80°, low angle first:
- 2θ 21.2, intensity 58, hkl 0 2 2
- 2θ 28.3, intensity 46, hkl 0 0 4
- 2θ 31.0, intensity 23, hkl 2 0 2
- 2θ 31.9, intensity 100, hkl 2 2 0
- 2θ 43.1, intensity 86, hkl 2 2 4
- 2θ 45.1, intensity 17, hkl 2 4 2
- 2θ 56.9, intensity 13, hkl 2 6 0
- 2θ 64.7, intensity 17, hkl 2 6 4
- 2θ 68.2, intensity 22, hkl 2 2 8
- 2θ 73.9, intensity 11, hkl 4 4 4

***

2.
For Dy5YHo2Sc, a structure optimized by DFT (GGA-PBE) gives the calculated XRD peak list in this record (Cu Kα (weighted mean of Kα1 and Kα2)).
Peak positions follow from Bragg's law for the DFT cell and can differ from measured ones.

Cell and atoms:
```
data_Dy5YHo2Sc
_cell_length_a 5.5236
_cell_length_b 19.9074
_cell_length_c 10.2946
_cell_angle_alpha 90.00
_cell_angle_beta 90.00
_cell_angle_gamma 90.00
_space_group_name_H-M_alt 'C m c 21'
_space_group_IT_number 36
loop_
_space_group_symop_operation_xyz
'x,y,z'
'-x,-y,z+1/2'
'-x,y,z'
'x,-y,z+1/2'
'x+1/2,y+1/2,z'
'-x+1/2,-y+1/2,z+1/2'
'-x+1/2,y+1/2,z'
'x+1/2,-y+1/2,z+1/2'
loop_
_atom_site_label
_atom_site_fract_x
_atom_site_fract_y
_atom_site_fract_z
Dy1 0.0000 0.0168 0.0000
Dy2 0.0000 0.2747 0.3040
Dy3 0.0000 0.2998 0.6897
Dy4 0.0000 0.3768 0.0052
Dy5 0.0000 0.4818 0.7245
Y1 0.0000 0.4081 0.4396
Ho1 0.0000 0.1115 0.2948
Ho2 0.0000 0.1145 0.7202
Sc1 0.0000 0.1954 0.9990
```

Most intense lines, 10° ≤ 2θ ≤ 80°, low angle first:
- 2θ 27.2, intensity 25, hkl 1 3 2
- 2θ 28.3, intensity 18, hkl 0 6 1
- 2θ 31.0, intensity 40, hkl 1 1 3
- 2θ 32.4, intensity 44, hkl 2 0 0
- 2θ 32.7, intensity 100, hkl 1 5 2
- 2θ 34.9, intensity 13, hkl 0 0 4
- 2θ 52.3, intensity 12, hkl 0 6 5
- 2θ 57.0, intensity 12, hkl 2 10 0
- 2θ 58.0, intensity 24, hkl 3 5 2
- 2θ 62.9, intensity 14, hkl 2 6 5

***

3.
For Dy2YHo2Sc2, a structure optimized by DFT (GGA-PBE) gives the calculated XRD peak list in this record (Cu Kα (weighted mean of Kα1 and Kα2)).
Peak positions follow from Bragg's law for the DFT cell and can differ from measured ones.

Cell and atoms:
```
data_Dy2YHo2Sc2
_cell_length_a 3.4277
_cell_length_b 5.3709
_cell_length_c 22.3669
_cell_angle_alpha 90.00
_cell_angle_beta 90.00
_cell_angle_gamma 90.00
_space_group_name_H-M_alt 'I m m m'
_space_group_IT_number 71
_space_group_name_Hall '-I 2 2'
loop_
_atom_site_label
_atom_site_fract_x
_atom_site_fract_y
_atom_site_fract_z
Dy1 0.0000 0.0000 0.0719
Y1 0.0000 0.0000 0.5000
Ho1 0.0000 0.5000 0.2921
Sc1 0.0000 0.5000 0.1438
```

Most intense lines, 10° ≤ 2θ ≤ 80°, low angle first:
- 2θ 17.0, intensity 31, hkl 0 1 1
- 2θ 32.0, intensity 100, hkl 1 1 2
- 2θ 32.6, intensity 84, hkl 0 1 7
- 2θ 32.9, intensity 49, hkl 1 0 5
- 2θ 33.4, intensity 41, hkl 0 2 0
- 2θ 45.1, intensity 15, hkl 1 0 9
- 2θ 47.6, intensity 35, hkl 1 2 5
- 2θ 58.8, intensity 16, hkl 1 3 2
- 2θ 59.0, intensity 19, hkl 1 1 12
- 2θ 64.0, intensity 24, hkl 2 1 7

***

4.
For DyYHo4Sc2, a structure optimized by DFT (GGA-PBE) gives the calculated XRD peak list in this record (Cu Kα (weighted mean of Kα1 and Kα2)).
Peak positions follow from Bragg's law for the DFT cell and can differ from measured ones.

Cell and atoms:
```
data_DyYHo4Sc2
_cell_length_a 12.0213
_cell_length_b 6.9407
_cell_length_c 11.9772
_cell_angle_alpha 90.00
_cell_angle_beta 109.58
_cell_angle_gamma 90.00
_space_group_name_H-M_alt 'C 1 2/m 1'
_space_group_IT_number 12
loop_
_space_group_symop_operation_xyz
'x,y,z'
'-x,-y,-z'
'-x,y,-z'
'x,-y,z'
'x+1/2,y+1/2,z'
'-x+1/2,-y+1/2,-z'
'-x+1/2,y+1/2,-z'
'x+1/2,-y+1/2,z'
loop_
_atom_site_label
_atom_site_fract_x
_atom_site_fract_y
_atom_site_fract_z
Dy1 0.2500 0.2500 0.0000
Y1 0.0000 0.0000 0.0000
Y2 0.0000 0.0000 0.5000
Ho1 0.0015 0.2519 0.2532
Ho2 0.2466 0.5000 0.7403
Ho3 0.2494 0.5000 0.2520
Sc1 0.0000 0.5000 0.0000
Sc2 0.0000 0.5000 0.5000
Sc3 0.2500 0.2500 0.5000
```

Most intense lines, 10° ≤ 2θ ≤ 80°, low angle first:
- 2θ 15.7, intensity 17, hkl 0 0 2
- 2θ 30.2, intensity 11, hkl 2 2 0
- 2θ 31.6, intensity 100, hkl 4 0 0
- 2θ 31.7, intensity 33, hkl 0 0 4
- 2θ 36.7, intensity 67, hkl 2 2 2
- 2θ 52.8, intensity 23, hkl 0 4 0
- 2θ 52.9, intensity 23, hkl 4 0 4
- 2θ 62.9, intensity 41, hkl 4 4 0
- 2θ 63.0, intensity 13, hkl 2 2 6
- 2θ 66.0, intensity 12, hkl 8 0 0